Record 1
Diffraction record for Pm4Sb2SeN2. The X-ray powder pattern is theoretical, not measured: it uses DFT lattice parameters and positions (GGA-PBE) and Cu Kα, 1.54184 Å.
Intensities are scaled so that the largest is 100.

Top 10 peaks for 2θ = 10–90°, by intensity:
d = 2.942 Å, 30.4 deg, I = 100; d = 2.527 Å, 35.5 deg, I = 48; d = 7.060 Å, 12.5 deg, I = 39; d = 2.720 Å, 32.9 deg, I = 33; d = 2.090 Å, 43.3 deg, I = 28; d = 3.536 Å, 25.2 deg, I = 24; d = 3.347 Å, 26.6 deg, I = 23; d = 3.117 Å, 28.6 deg, I = 20; d = 1.703 Å, 53.8 deg, I = 19; d = 2.357 Å, 38.2 deg, I = 18

Crystal structure
```
Pm4Sb2SeN2
1.0
7.985 -2.089 0.000
7.985 2.089 0.000
-4.056 0.000 7.491
Pm Sb Se N
4 2 1 2
Direct
0.025 0.025 0.277
0.274 0.274 0.362
0.726 0.726 0.638
0.975 0.975 0.723
0.399 0.399 0.946
0.601 0.601 0.054
0.500 0.500 0.500
0.177 0.177 0.489
0.823 0.823 0.511
```

---

Record 2
Diffraction record for Na2Ru3PbO8. The X-ray powder pattern is theoretical, not measured: it uses DFT lattice parameters and positions (GGA-PBE) and Cu Kα, 1.54184 Å.
Intensities are scaled so that the largest is 100.

Top 10 peaks for 2θ = 10–90°, by intensity:
d = 2.707 Å, 33.1 deg, I = 100; d = 3.388 Å, 26.3 deg, I = 90; d = 2.610 Å, 34.4 deg, I = 89; d = 4.531 Å, 19.6 deg, I = 85; d = 2.939 Å, 30.4 deg, I = 73; d = 5.892 Å, 15.0 deg, I = 54; d = 1.824 Å, 50.0 deg, I = 47; d = 1.694 Å, 54.1 deg, I = 46; d = 1.524 Å, 60.8 deg, I = 35; d = 1.737 Å, 52.7 deg, I = 33

Crystal structure
```
Na2Ru3PbO8
1.0
3.047 1.759 5.892
-3.047 1.759 5.892
0.000 -3.518 5.892
Na Ru Pb O
2 3 1 8
Direct
0.000 0.000 0.000
0.375 0.375 0.375
0.363 0.363 0.893
0.363 0.893 0.363
0.893 0.363 0.363
0.746 0.746 0.746
0.122 0.122 0.573
0.122 0.573 0.122
0.134 0.134 0.134
0.176 0.630 0.630
0.573 0.122 0.122
0.594 0.594 0.594
0.630 0.176 0.630
0.630 0.630 0.176
```